Starting from DFT lattice parameters and positions (GGA+U), the X-ray diffraction stick pattern of Mn3I5O was computed for Cu Kα X-rays.

Top 8 peaks for 2θ = 10–90°, low angle first:
| Position (°2θ) | d_spacing | Rel. int. |
| --- | --- | --- |
| 14.76 | 6.000 | 80 |
| 21.51 | 4.131 | 65 |
| 22.19 | 4.007 | 100 |
| 23.77 | 3.743 | 78 |
| 26.13 | 3.410 | 86 |
| 27.76 | 3.213 | 82 |
| 29.76 | 3.002 | 92 |
| 32.18 | 2.781 | 54 |

```
data_Mn3I5O
_cell_length_a 6.8052
_cell_length_b 8.6397
_cell_length_c 12.1663
_cell_angle_alpha 99.12
_cell_angle_beta 101.87
_cell_angle_gamma 105.91
_space_group_name_H-M_alt 'P -1'
_space_group_IT_number 2
_space_group_name_Hall '-P 1'
loop_
_atom_site_label
_atom_site_fract_x
_atom_site_fract_y
_atom_site_fract_z
Mn1 0.0000 0.0000 0.0000
Mn2 0.0016 0.5093 0.3418
Mn3 0.3046 0.7794 0.1605
Mn4 0.5000 0.0000 0.0000
I1 0.1550 0.4399 0.1492
I2 0.2267 0.3852 0.5106
I3 0.2583 0.8462 0.3820
I4 0.2872 0.2133 0.8741
I5 0.3703 0.7631 0.7758
O1 0.2434 0.9183 0.0487
```